The following is a simulated powder X-ray diffraction pattern of CsHg8. It was derived from a DFT-relaxed cell (GGA-PBE, OQMD), using a wavelength of 1.5418 Å.
Intensities are scaled so that the largest is 100.

```
CsHg8
1.0
9.842 0.000 0.000
-4.921 8.523 0.000
0.000 0.000 3.704
Cs Hg
1 8
direct
0.000 0.000 0.000
0.173 0.346 0.500
0.173 0.827 0.500
0.333 0.667 0.500
0.346 0.173 0.500
0.654 0.827 0.500
0.667 0.333 0.500
0.827 0.173 0.500
0.827 0.654 0.500
```

Top 12 peaks for 5° ≤ 2θ ≤ 70°, in order of falling intensity:
- 36.52 deg, rel. 100, hkl 2 2 0
- 44.19 deg, rel. 86, hkl 2 2 1
- 32.01 deg, rel. 83, hkl 2 0 1
- 24.02 deg, rel. 71, hkl 0 0 1
- 20.84 deg, rel. 61, hkl 2 0 0
- 62.79 deg, rel. 42, hkl 2 2 2
- 49.34 deg, rel. 25, hkl 4 0 1
- 62.92 deg, rel. 24, hkl 4 2 1
- 65.73 deg, rel. 18, hkl 6 0 0
- 49.19 deg, rel. 15, hkl 0 0 2
- 53.98 deg, rel. 10, hkl 2 0 2
- 42.42 deg, rel. 10, hkl 4 0 0